This entry pairs a crystal structure of HfZr3Co2 with its computed powder diffraction line list. Radiation: Cu Ka. Structure: a PBE-relaxed structure.

Structural model:
```
data_HfZr3Co2
_chemical_formula_sum 'Hf2 Zr6 Co4'
_space_group_name_H-M_alt 'I m m m'
_space_group_IT_number 71
_space_group_name_Hall '-I 2 2'
_cell_length_a 3.3812
_cell_length_b 4.6579
_cell_length_c 14.1252
_cell_angle_alpha 90.00
_cell_angle_beta 90.00
_cell_angle_gamma 90.00
loop_
_atom_site_label
_atom_site_fract_x
_atom_site_fract_y
_atom_site_fract_z
_atom_site_occupancy
Hf1 0.0000 0.0000 0.0000 1
Zr1 0.0000 0.0000 0.5000 1
Zr2 0.0000 0.5000 0.1854 1
Co1 0.0000 0.5000 0.3589 1
```

Peak list (10 most intense, 10° ≤ 2θ ≤ 90°, by angle)
(hkl)	d_spacing	Rel. int.
0 0 2	7.063	20.9
1 1 2	2.551	100.0
0 0 6	2.354	25.8
0 2 0	2.329	36.2
1 0 5	2.168	14.1
1 1 4	2.163	53.5
2 0 0	1.691	13.2
0 2 6	1.656	17.1
1 1 8	1.484	14.2
1 3 2	1.384	15.3


This entry pairs a crystal structure of Co3Hg5 with its computed powder diffraction line list. Radiation: Cu Ka. Structure: a PBE-relaxed structure.

Structural model:
```
data_Co3Hg5
_chemical_formula_sum 'Co6 Hg10'
_space_group_name_H-M_alt 'P -1'
_space_group_IT_number 2
_space_group_name_Hall '-P 1'
_cell_length_a 5.8123
_cell_length_b 6.6313
_cell_length_c 8.6264
_cell_angle_alpha 77.43
_cell_angle_beta 82.92
_cell_angle_gamma 70.05
loop_
_atom_site_label
_atom_site_fract_x
_atom_site_fract_y
_atom_site_fract_z
_atom_site_occupancy
Co1 0.0332 0.1094 0.0831 1
Co2 0.2867 0.4984 0.5006 1
Co3 0.3784 0.9274 0.9386 1
Hg1 0.0708 0.2353 0.7186 1
Hg2 0.1257 0.2524 0.3494 1
Hg3 0.2621 0.4620 0.0025 1
Hg4 0.3656 0.7505 0.6817 1
Hg5 0.4127 0.8012 0.2737 1
```

Peak list (10 most intense, 10° ≤ 2θ ≤ 90°, by angle)
(hkl)	d_spacing	Rel. int.
0 2 1	3.065	77.4
2 1 1	2.836	52.7
0 0 3	2.803	67.6
0 1 3	2.751	32.9
0 2 2	2.731	50.3
2 2 0	2.474	32.4
0 2 -2	2.279	62.8
2 -1 0	2.236	100.0
2 1 -2	2.221	53.8
2 1 3	2.164	32.9


This entry pairs a crystal structure of Co3Hg with its computed powder diffraction line list. Radiation: Cu Ka. Structure: a PBE-relaxed structure.

Structural model:
```
data_Co3Hg
_chemical_formula_sum 'Co3 Hg1'
_space_group_name_H-M_alt 'P 4/m m m'
_space_group_IT_number 123
_space_group_name_Hall '-P 4 2'
_cell_length_a 2.8706
_cell_length_b 2.8706
_cell_length_c 6.5721
_cell_angle_alpha 90.00
_cell_angle_beta 90.00
_cell_angle_gamma 90.00
loop_
_atom_site_label
_atom_site_fract_x
_atom_site_fract_y
_atom_site_fract_z
_atom_site_occupancy
Co1 0.0000 0.0000 0.0000 1
Co2 0.5000 0.5000 0.2008 1
Hg1 0.0000 0.0000 0.5000 1
```

Peak list (10 most intense, 10° ≤ 2θ ≤ 90°, by angle)
(hkl)	d_spacing	Rel. int.
0 0 1	6.572	25.8
0 0 2	3.286	15.2
1 0 0	2.871	15.8
1 0 1	2.631	41.2
1 0 2	2.162	100.0
1 1 0	2.030	46.5
1 1 3	1.489	13.2
2 0 0	1.435	14.7
1 1 4	1.277	12.5
2 1 2	1.196	36.3


This entry pairs a crystal structure of Ho4CoHg2 with its computed powder diffraction line list. Radiation: Cu Ka. Structure: a PBE-relaxed structure.

Structural model:
```
data_Ho4CoHg2
_chemical_formula_sum 'Ho4 Co1 Hg2'
_space_group_name_H-M_alt 'P 1 2/m 1'
_space_group_IT_number 10
_space_group_name_Hall '-P 2y'
_cell_length_a 6.4300
_cell_length_b 3.6721
_cell_length_c 8.6081
_cell_angle_alpha 90.00
_cell_angle_beta 110.74
_cell_angle_gamma 90.00
loop_
_atom_site_label
_atom_site_fract_x
_atom_site_fract_y
_atom_site_fract_z
_atom_site_occupancy
Ho1 0.1196 0.0000 0.2461 1
Ho2 0.3053 0.5000 0.6408 1
Co1 0.0000 0.0000 0.5000 1
Hg1 0.2740 0.5000 0.0094 1
```

Peak list (10 most intense, 10° ≤ 2θ ≤ 90°, by angle)
(hkl)	d_spacing	Rel. int.
1 1 0	3.134	91.8
1 1 1	2.754	73.9
1 1 -2	2.729	63.7
0 1 2	2.713	100.0
2 0 1	2.537	68.5
2 0 -3	2.487	91.5
2 1 0	2.326	94.4
2 1 -2	2.306	65.7
0 1 3	2.167	88.2
0 2 0	1.836	67.7


This entry pairs a crystal structure of Ho2Co2Hg with its computed powder diffraction line list. Radiation: Cu Ka. Structure: a PBE-relaxed structure.

Structural model:
```
data_Ho2Co2Hg
_chemical_formula_sum 'Ho4 Co4 Hg2'
_space_group_name_H-M_alt 'C m m m'
_space_group_IT_number 65
_space_group_name_Hall '-C 2 2'
_cell_length_a 3.8256
_cell_length_b 13.5757
_cell_length_c 3.8868
_cell_angle_alpha 90.00
_cell_angle_beta 90.00
_cell_angle_gamma 90.00
loop_
_atom_site_label
_atom_site_fract_x
_atom_site_fract_y
_atom_site_fract_z
_atom_site_occupancy
Ho1 0.0000 0.1367 0.0000 1
Co1 0.0000 0.2925 0.5000 1
Hg1 0.0000 0.5000 0.5000 1
```

Peak list (10 most intense, 10° ≤ 2θ ≤ 90°, by angle)
(hkl)	d_spacing	Rel. int.
1 3 0	2.922	47.2
1 1 1	2.673	100.0
0 4 1	2.556	72.7
1 5 0	2.214	30.3
0 0 2	1.943	21.0
2 0 0	1.913	20.0
1 3 2	1.618	17.2
1 7 1	1.580	16.8
2 4 1	1.532	30.3
1 5 2	1.461	20.7


This entry pairs a crystal structure of Ho3CoHg2 with its computed powder diffraction line list. Radiation: Cu Ka. Structure: a PBE-relaxed structure.

Structural model:
```
data_Ho3CoHg2
_chemical_formula_sum 'Ho6 Co2 Hg4'
_space_group_name_H-M_alt 'P 1 21/m 1'
_space_group_IT_number 11
_space_group_name_Hall '-P 2yb'
_cell_length_a 5.1193
_cell_length_b 7.0822
_cell_length_c 8.3523
_cell_angle_alpha 90.00
_cell_angle_beta 107.68
_cell_angle_gamma 90.00
loop_
_atom_site_label
_atom_site_fract_x
_atom_site_fract_y
_atom_site_fract_z
_atom_site_occupancy
Ho1 0.0040 0.2500 0.0000 1
Ho2 0.3678 0.0000 0.7353 1
Co1 0.4960 0.7500 0.0000 1
Hg1 0.1944 0.2500 0.3889 1
Hg2 0.1948 0.7500 0.3889 1
```

Peak list (10 most intense, 10° ≤ 2θ ≤ 90°, by angle)
(hkl)	d_spacing	Rel. int.
1 2 0	2.865	79.7
1 0 2	2.703	72.8
0 2 2	2.647	79.0
2 0 -1	2.558	100.0
1 2 -2	2.551	36.1
2 2 1	1.842	27.2
2 2 -3	1.838	27.0
0 4 0	1.771	21.4
1 4 2	1.481	24.0
2 4 -1	1.456	22.5


This entry pairs a crystal structure of Pr3In3CoHg2 with its computed powder diffraction line list. Radiation: Cu Ka. Structure: a PBE-relaxed structure.

Structural model:
```
data_Pr3In3CoHg2
_chemical_formula_sum 'Pr3 In3 Co1 Hg2'
_space_group_name_H-M_alt 'P -6 2 m'
_space_group_IT_number 189
_space_group_name_Hall 'P -6 -2'
_cell_length_a 7.7973
_cell_length_b 7.7973
_cell_length_c 4.3405
_cell_angle_alpha 90.00
_cell_angle_beta 90.00
_cell_angle_gamma 120.00
loop_
_atom_site_label
_atom_site_fract_x
_atom_site_fract_y
_atom_site_fract_z
_atom_site_occupancy
Pr1 0.0000 0.6138 0.0000 1
In1 0.0000 0.2317 0.5000 1
Co1 0.0000 0.0000 0.0000 1
Hg1 0.3333 0.6667 0.5000 1
```

Peak list (10 most intense, 10° ≤ 2θ ≤ 90°, by angle)
(hkl)	d_spacing	Rel. int.
1 1 1	2.900	100.0
2 0 1	2.665	51.0
2 1 0	2.552	38.0
3 0 0	2.251	32.6
2 1 1	2.200	30.9
0 0 2	2.170	23.5
2 1 2	1.653	20.2
3 0 2	1.562	20.8
3 2 1	1.459	18.1
4 1 1	1.395	18.7


This entry pairs a crystal structure of Tb3In3CoHg2 with its computed powder diffraction line list. Radiation: Cu Ka. Structure: a PBE-relaxed structure.

Structural model:
```
data_Tb3In3CoHg2
_chemical_formula_sum 'Tb3 In3 Co1 Hg2'
_space_group_name_H-M_alt 'P -6 2 m'
_space_group_IT_number 189
_space_group_name_Hall 'P -6 -2'
_cell_length_a 7.7040
_cell_length_b 7.7040
_cell_length_c 4.1014
_cell_angle_alpha 90.00
_cell_angle_beta 90.00
_cell_angle_gamma 120.00
loop_
_atom_site_label
_atom_site_fract_x
_atom_site_fract_y
_atom_site_fract_z
_atom_site_occupancy
Tb1 0.0000 0.3882 0.0000 1
In1 0.0000 0.7624 0.5000 1
Co1 0.0000 0.0000 0.0000 1
Hg1 0.3333 0.6667 0.5000 1
```

Peak list (10 most intense, 10° ≤ 2θ ≤ 90°, by angle)
(hkl)	d_spacing	Rel. int.
1 1 1	2.808	100.0
2 0 1	2.588	51.4
2 1 0	2.522	37.9
3 0 0	2.224	34.7
2 1 1	2.148	26.2
0 0 2	2.051	21.0
2 1 2	1.591	18.4
3 0 2	1.508	20.3
3 2 1	1.434	19.2
4 1 1	1.372	16.9


This entry pairs a crystal structure of Co2HgIr with its computed powder diffraction line list. Radiation: Cu Ka. Structure: a PBE-relaxed structure.

Structural model:
```
data_Co2HgIr
_chemical_formula_sum 'Co4 Hg2 Ir2'
_space_group_name_H-M_alt 'C 1 2/m 1'
_space_group_IT_number 12
_space_group_name_Hall '-C 2y'
_cell_length_a 8.7237
_cell_length_b 2.8417
_cell_length_c 4.8927
_cell_angle_alpha 90.00
_cell_angle_beta 100.79
_cell_angle_gamma 90.00
loop_
_atom_site_label
_atom_site_fract_x
_atom_site_fract_y
_atom_site_fract_z
_atom_site_occupancy
Co1 0.2415 0.0000 0.1992 1
Hg1 0.0000 0.0000 0.5000 1
Ir1 0.0000 0.5000 0.0000 1
```

Peak list (10 most intense, 10° ≤ 2θ ≤ 90°, by angle)
(hkl)	d_spacing	Rel. int.
2 0 0	4.285	66.9
1 1 -1	2.414	33.0
0 0 2	2.403	18.8
1 1 1	2.295	100.0
2 0 -2	2.286	47.8
4 0 0	2.142	41.8
3 1 -1	1.952	63.2
2 0 2	1.946	27.7
1 1 -3	1.414	18.4
6 0 -2	1.344	41.3